TlAg2As: computed powder X-ray diffraction pattern (λ = 1.5418 Å (Cu Kα)), based on a structure optimized by DFT (PBE).
No peak broadening, texture or thermal motion is included.

The 6 most intense peaks (2θ = 5–70°), in order of falling intensity:
- d = 2.520 Å, 35.6 deg, rel. 100.0, hkl 1 1 2
- d = 2.211 Å, 40.8 deg, rel. 34.2, hkl 2 0 0
- d = 1.534 Å, 60.4 deg, rel. 21.1, hkl 2 0 4
- d = 3.925 Å, 22.7 deg, rel. 18.0, hkl 1 0 1
- d = 2.129 Å, 42.5 deg, rel. 15.2, hkl 0 0 4
- d = 1.564 Å, 59.1 deg, rel. 11.3, hkl 2 2 0

Cell: 4.423 4.423 8.515 Å, 90.00 90.00 90.00°
Space group I4/mmm (No. 139)
Inequivalent atoms, fractional coordinates:
Tl 0.000 0.000 0.000
Ag 0.000 0.500 0.250
As 0.000 0.000 0.500

TlAg2As: computed powder X-ray diffraction pattern (λ = 1.5418 Å (Cu Kα)), based on a structure optimized by DFT (PBE).
No peak broadening, texture or thermal motion is included.

The 6 most intense peaks (2θ = 5–70°), in order of falling intensity:
- d = 2.533 Å, 35.4 deg, rel. 100.0, hkl 1 1 2
- d = 2.266 Å, 39.8 deg, rel. 19.6, hkl 0 2 0
- d = 2.257 Å, 39.9 deg, rel. 19.3, hkl 2 0 0
- d = 2.984 Å, 29.9 deg, rel. 18.7, hkl 1 1 1
- d = 1.354 Å, 69.4 deg, rel. 13.7, hkl 1 3 2
- d = 1.350 Å, 69.6 deg, rel. 13.5, hkl 3 1 2

Cell: 4.515 4.532 8.296 Å, 90.00 90.00 90.00°
Space group Cmmm (No. 65)
Inequivalent atoms, fractional coordinates:
Tl 0.000 0.000 0.000
Ag 0.000 0.500 0.283
As 0.000 0.000 0.500

AgAsW4: computed powder X-ray diffraction pattern (λ = 1.5418 Å (Cu Kα)), based on a structure optimized by DFT (PBE).
No peak broadening, texture or thermal motion is included.

The 6 most intense peaks (2θ = 5–70°), in order of falling intensity:
- d = 2.277 Å, 39.6 deg, rel. 100.0, hkl 3 1 1
- d = 2.180 Å, 41.4 deg, rel. 62.6, hkl 2 2 2
- d = 4.360 Å, 20.4 deg, rel. 38.3, hkl 1 1 1
- d = 1.453 Å, 64.1 deg, rel. 32.4, hkl 3 3 3
- d = 1.888 Å, 48.2 deg, rel. 16.8, hkl 4 0 0
- d = 2.670 Å, 33.6 deg, rel. 11.6, hkl 2 2 0

Cell: 7.551 7.551 7.551 Å, 90.00 90.00 90.00°
Space group F-43m (No. 216)
Inequivalent atoms, fractional coordinates:
Ag 0.000 0.000 0.000
As 0.250 0.250 0.750
W 0.127 0.127 0.373

ZnAg2As: computed powder X-ray diffraction pattern (λ = 1.5418 Å (Cu Kα)), based on a structure optimized by DFT (PBE).
No peak broadening, texture or thermal motion is included.

The 6 most intense peaks (2θ = 5–70°), in order of falling intensity:
- d = 2.379 Å, 37.8 deg, rel. 100.0, hkl 1 1 2
- d = 2.027 Å, 44.7 deg, rel. 30.6, hkl 2 0 0
- d = 1.469 Å, 63.3 deg, rel. 20.7, hkl 2 0 4
- d = 2.132 Å, 42.4 deg, rel. 18.0, hkl 0 0 4
- d = 1.433 Å, 65.1 deg, rel. 9.5, hkl 2 2 0
- d = 3.661 Å, 24.3 deg, rel. 6.7, hkl 1 0 1

Cell: 4.053 4.053 8.530 Å, 90.00 90.00 90.00°
Space group I-4m2 (No. 119)
Inequivalent atoms, fractional coordinates:
Zn 0.000 0.000 0.000
Ag 0.000 0.000 0.500
Ag 0.000 0.500 0.250
As 0.000 0.500 0.750

ZnAg2As: computed powder X-ray diffraction pattern (λ = 1.5418 Å (Cu Kα)), based on a structure optimized by DFT (PBE).
No peak broadening, texture or thermal motion is included.

The 6 most intense peaks (2θ = 5–70°), in order of falling intensity:
- d = 2.404 Å, 37.4 deg, rel. 100.0, hkl 1 1 0
- d = 2.358 Å, 38.2 deg, rel. 93.6, hkl 0 1 2
- d = 1.443 Å, 64.6 deg, rel. 37.3, hkl 1 2 2
- d = 2.109 Å, 42.9 deg, rel. 33.2, hkl 1 0 -2
- d = 2.103 Å, 43.0 deg, rel. 33.1, hkl 1 0 2
- d = 1.980 Å, 45.8 deg, rel. 27.6, hkl 0 2 0

Cell: 3.025 3.961 5.869 Å, 90.00 90.16 90.00°
Space group P2/m (No. 10)
Inequivalent atoms, fractional coordinates:
Zn 0.000 0.000 0.000
Ag 0.497 0.500 0.760
As 0.000 0.000 0.500

ZnAg2As: computed powder X-ray diffraction pattern (λ = 1.5418 Å (Cu Kα)), based on a structure optimized by DFT (PBE).
No peak broadening, texture or thermal motion is included.

The 6 most intense peaks (2θ = 5–70°), in order of falling intensity:
- d = 2.385 Å, 37.7 deg, rel. 100.0, hkl 1 1 2
- d = 2.116 Å, 42.7 deg, rel. 17.4, hkl 0 0 4
- d = 2.054 Å, 44.1 deg, rel. 15.9, hkl 0 2 0
- d = 2.030 Å, 44.6 deg, rel. 15.3, hkl 2 0 0
- d = 1.474 Å, 63.1 deg, rel. 10.4, hkl 0 2 4
- d = 1.465 Å, 63.5 deg, rel. 10.1, hkl 2 0 4

Cell: 4.059 4.109 8.464 Å, 90.00 90.00 90.00°
Space group Immm (No. 71)
Inequivalent atoms, fractional coordinates:
Zn 0.000 0.000 0.000
Ag 0.000 0.500 0.250
As 0.000 0.000 0.500

Ag4Au: computed powder X-ray diffraction pattern (λ = 1.5418 Å (Cu Kα)), based on a structure optimized by DFT (PBE).
No peak broadening, texture or thermal motion is included.

The 6 most intense peaks (2θ = 5–70°), in order of falling intensity:
- d = 2.411 Å, 37.3 deg, rel. 100.0, hkl 0 1 5
- d = 2.078 Å, 43.6 deg, rel. 64.0, hkl 1 0 10
- d = 2.366 Å, 38.0 deg, rel. 31.6, hkl 0 0 15
- d = 1.480 Å, 62.8 deg, rel. 21.0, hkl 1 1 0
- d = 1.459 Å, 63.8 deg, rel. 19.8, hkl 0 1 20
- d = 11.831 Å, 7.5 deg, rel. 19.3, hkl 0 0 3

Cell: 2.9600 2.9600 35.4940 Å, 90.00 90.00 120.00°
Space group R-3m (No. 166, hexagonal axes)
Inequivalent atoms, fractional coordinates:
Ag 0.0000 0.0000 0.0997
Ag 0.0000 0.0000 0.3000
Au 0.0000 0.0000 0.5000

Ag2Au3: computed powder X-ray diffraction pattern (λ = 1.5418 Å (Cu Kα)), based on a structure optimized by DFT (PBE).
No peak broadening, texture or thermal motion is included.

The 6 most intense peaks (2θ = 5–70°), in order of falling intensity:
- d = 2.418 Å, 37.2 deg, rel. 100.0, hkl 0 1 5
- d = 2.381 Å, 37.8 deg, rel. 95.8, hkl 1 1 0
- d = 2.089 Å, 43.3 deg, rel. 65.2, hkl 1 0 5
- d = 1.465 Å, 63.5 deg, rel. 41.6, hkl 1 2 5
- d = 2.056 Å, 44.0 deg, rel. 31.1, hkl 0 2 0
- d = 7.476 Å, 11.8 deg, rel. 16.7, hkl 0 0 2

Cell: 2.921 4.112 14.952 Å, 90.00 90.00 90.00°
Space group Immm (No. 71)
Inequivalent atoms, fractional coordinates:
Ag 0.000 0.000 0.200
Au 0.000 0.000 0.000
Au 0.000 0.000 0.398

Ag3Au5: computed powder X-ray diffraction pattern (λ = 1.5418 Å (Cu Kα)), based on a structure optimized by DFT (PBE).
No peak broadening, texture or thermal motion is included.

The 6 most intense peaks (2θ = 5–70°), in order of falling intensity:
- d = 2.399 Å, 37.5 deg, rel. 100.0, hkl 2 2 1
- d = 2.118 Å, 42.7 deg, rel. 17.4, hkl 0 4 0
- d = 2.095 Å, 43.2 deg, rel. 16.8, hkl 4 0 0
- d = 2.023 Å, 44.8 deg, rel. 15.1, hkl 0 0 2
- d = 1.489 Å, 62.3 deg, rel. 11.3, hkl 4 4 0
- d = 1.463 Å, 63.6 deg, rel. 10.6, hkl 0 4 2

Cell: 8.381 8.471 4.045 Å, 90.00 90.00 90.00°
Space group Cmmm (No. 65)
Inequivalent atoms, fractional coordinates:
Ag 0.000 0.000 0.000
Ag 0.249 0.000 0.500
Au 0.000 0.249 0.500
Au 0.000 0.500 0.000
Au 0.250 0.250 0.000

Ag2Au: computed powder X-ray diffraction pattern (λ = 1.5418 Å (Cu Kα)), based on a structure optimized by DFT (PBE).
No peak broadening, texture or thermal motion is included.

The 6 most intense peaks (2θ = 5–70°), in order of falling intensity:
- d = 2.245 Å, 40.2 deg, rel. 100.0, hkl 0 2 1
- d = 2.428 Å, 37.0 deg, rel. 27.9, hkl 0 0 2
- d = 2.532 Å, 35.4 deg, rel. 23.6, hkl 3 1 0
- d = 1.364 Å, 68.8 deg, rel. 19.8, hkl 0 2 3
- d = 1.462 Å, 63.6 deg, rel. 16.7, hkl 6 0 0
- d = 1.753 Å, 52.2 deg, rel. 15.3, hkl 3 1 2

Cell: 8.777 5.063 4.856 Å, 90.00 90.00 90.00°
Space group Cmcm (No. 63)
Inequivalent atoms, fractional coordinates:
Ag 0.166 0.167 0.250
Au 0.000 0.334 0.750

Ag17Au12: computed powder X-ray diffraction pattern (λ = 1.5418 Å (Cu Kα)), based on a structure optimized by DFT (PBE).
No peak broadening, texture or thermal motion is included.

The 6 most intense peaks (2θ = 5–70°), in order of falling intensity:
- d = 2.416 Å, 37.2 deg, rel. 100.0, hkl 4 1 1
- d = 2.186 Å, 41.3 deg, rel. 57.5, hkl 3 3 2
- d = 2.011 Å, 45.1 deg, rel. 37.8, hkl 4 3 1
- d = 1.450 Å, 64.2 deg, rel. 21.3, hkl 5 5 0
- d = 1.395 Å, 67.1 deg, rel. 21.1, hkl 7 2 1
- d = 4.185 Å, 21.2 deg, rel. 19.9, hkl 2 1 1

Cell: 10.252 10.252 10.252 Å, 90.00 90.00 90.00°
Space group I-43m (No. 217)
Inequivalent atoms, fractional coordinates:
Ag 0.000 0.000 0.000
Ag 0.054 0.363 0.363
Ag 0.170 0.170 0.830
Au 0.095 0.095 0.287

AgAu2: computed powder X-ray diffraction pattern (λ = 1.5418 Å (Cu Kα)), based on a structure optimized by DFT (PBE).
No peak broadening, texture or thermal motion is included.

The 6 most intense peaks (2θ = 5–70°), in order of falling intensity:
- d = 2.400 Å, 37.5 deg, rel. 100.0, hkl 1 3 1
- d = 2.061 Å, 43.9 deg, rel. 32.0, hkl 2 0 0
- d = 1.477 Å, 62.9 deg, rel. 21.9, hkl 2 6 0
- d = 2.117 Å, 42.7 deg, rel. 17.3, hkl 0 6 0
- d = 1.457 Å, 63.9 deg, rel. 10.5, hkl 2 0 2
- d = 3.919 Å, 22.7 deg, rel. 3.6, hkl 1 1 0

Cell: 4.119 12.703 4.123 Å, 90.00 90.00 90.00°
Space group Cmcm (No. 63)
Inequivalent atoms, fractional coordinates:
Ag 0.000 0.083 0.250
Au 0.000 0.250 0.750
Au 0.000 0.418 0.250

> Which formula does entry 8 have?

Ag2Au3